Computed XRD peak list
Compound: Pr5SmDy2Ho
Radiation: λ = 1.5418 Å (Cu Kα)
Structure: a structure optimized by DFT (GGA-PBE)
Kinematic intensities with the Lorentz-polarization factor, no thermal factor.

Structural model:
```
18
Lattice="2.8441 -10.3097 0.0000 2.8441 10.3097 0.0000 0.0000 0.0000 10.7850" Properties=species:S:1:pos:R:3 pbc="T T T"
Pr 2.8441 9.9935 5.3925
Pr 2.8441 4.5333 8.5464
Pr 2.8441 4.2166 1.9983
Pr 2.8441 2.3271 5.4419
Pr 2.8441 0.3687 2.4356
Pr 2.8441 -0.3687 7.8281
Pr 2.8441 -2.3271 0.0494
Pr 2.8441 -4.2166 7.3908
Pr 2.8441 -4.5333 3.1539
Pr 2.8441 -9.9935 0.0000
Sm 2.8441 6.1927 5.2947
Sm 2.8441 -6.1927 10.6872
Dy 2.8441 8.0107 2.3765
Dy 2.8441 7.9243 8.5511
Dy 2.8441 -7.9243 3.1586
Dy 2.8441 -8.0107 7.7690
Ho 2.8441 1.8968 10.1760
Ho 2.8441 -1.8968 4.7835
```

Peak list (10 most intense, 2θ = 10–90°, by angle)
- 2θ = 26.22°, d = 3.399 Å, I = 7.9
- 2θ = 27.24°, d = 3.274 Å, I = 9.9
- 2θ = 29.72°, d = 3.006 Å, I = 22.6
- 2θ = 31.50°, d = 2.840 Å, I = 100.0
- 2θ = 33.23°, d = 2.696 Å, I = 9.5
- 2θ = 46.41°, d = 1.957 Å, I = 7.5
- 2θ = 54.97°, d = 1.670 Å, I = 9.4
- 2θ = 56.04°, d = 1.641 Å, I = 14.3
- 2θ = 57.79°, d = 1.595 Å, I = 8.2
- 2θ = 60.20°, d = 1.537 Å, I = 8.0

=====

Computed XRD peak list
Compound: RbTcS2
Radiation: λ = 1.5418 Å (Cu Kα)
Structure: a structure optimized by DFT (GGA-PBE)
Kinematic intensities with the Lorentz-polarization factor, no thermal factor.

Structural model:
```
32
Lattice="5.2832 -5.2835 0.0000 5.2832 5.2835 0.0000 -2.6850 0.0000 14.9455" Properties=species:S:1:pos:R:3 pbc="T T T"
Rb 3.2265 3.3344 8.9235
Rb 3.3124 3.3344 13.4948
Rb 0.5901 0.6079 13.4885
Rb 1.9326 -0.6079 6.0157
Rb 5.9487 0.6079 8.9298
Rb 7.2912 -0.6079 1.4570
Rb 4.5690 -3.3344 1.4507
Rb 4.6548 -3.3344 6.0220
Tc 3.4280 3.1594 4.8278
Tc 3.4446 0.8084 2.6356
Tc 5.7959 3.1594 2.6449
Tc 2.1022 -0.8084 10.1083
Tc 5.7792 0.8084 4.8372
Tc 2.0855 -3.1594 12.3006
Tc 4.4367 -0.8084 12.3100
Tc 4.4534 -3.1594 10.1177
S 1.8629 1.9946 3.7086
S 4.6119 4.7298 3.7364
S 0.6367 0.6633 8.9783
S 4.6334 1.9753 1.1348
S 1.9791 -0.6633 1.5056
S 4.5905 1.9753 6.3379
S 3.2694 0.7679 11.2091
S 0.5204 -1.9946 11.1813
S 7.3609 1.9946 3.7642
S 4.6119 -0.7679 3.7364
S 3.2909 -1.9753 8.6076
S 5.9022 0.6633 13.4399
S 3.2480 -1.9753 13.8107
S 7.2447 -0.6633 5.9672
S 3.2694 -4.7298 11.2091
S 6.0184 -1.9946 11.2369
```

Peak list (10 most intense, 2θ = 10–90°, by angle)
- 2θ = 11.85°, d = 7.467 Å, I = 26.9
- 2θ = 13.99°, d = 6.330 Å, I = 15.1
- 2θ = 24.01°, d = 3.707 Å, I = 33.1
- 2θ = 25.46°, d = 3.498 Å, I = 19.9
- 2θ = 26.72°, d = 3.336 Å, I = 21.0
- 2θ = 31.83°, d = 2.812 Å, I = 100.0
- 2θ = 38.58°, d = 2.334 Å, I = 21.2
- 2θ = 48.75°, d = 1.868 Å, I = 30.9
- 2θ = 55.30°, d = 1.661 Å, I = 24.5
- 2θ = 59.38°, d = 1.556 Å, I = 20.7

=====

Computed XRD peak list
Compound: CsTlOsO6
Radiation: λ = 1.5418 Å (Cu Kα)
Structure: a structure optimized by DFT (GGA-PBE)
Kinematic intensities with the Lorentz-polarization factor, no thermal factor.

Structural model:
```
9
Lattice="2.8446 -5.2053 0.0000 2.8446 5.2053 0.0000 -0.2880 0.0000 6.3395" Properties=species:S:1:pos:R:3 pbc="T T T"
Cs 0.0000 0.0000 0.0000
Tl 2.7006 -1.6549 3.1697
Os 2.7006 1.8159 3.1697
O 4.4575 -1.9058 4.1788
O 1.5437 2.2314 1.8468
O 1.7729 0.5642 4.0651
O 0.9438 -1.9058 2.1607
O 3.8576 2.2314 4.4927
O 3.6283 0.5642 2.2744
```

Peak list (10 most intense, 2θ = 10–90°, by angle)
- 2θ = 13.97°, d = 6.339 Å, I = 100.0
- 2θ = 22.10°, d = 4.023 Å, I = 79.9
- 2θ = 22.23°, d = 3.998 Å, I = 80.6
- 2θ = 23.12°, d = 3.847 Å, I = 76.1
- 2θ = 28.15°, d = 3.170 Å, I = 44.3
- 2θ = 30.17°, d = 2.962 Å, I = 84.9
- 2θ = 31.48°, d = 2.842 Å, I = 31.2
- 2θ = 33.08°, d = 2.708 Å, I = 26.4
- 2θ = 41.22°, d = 2.190 Å, I = 48.2
- 2θ = 42.25°, d = 2.139 Å, I = 30.5